Record 1
Calculated X-ray powder pattern of CsNaO3 for a wavelength of 1.5418 Å, from a GGA-PBE-relaxed structure.
Kinematic intensities with the Lorentz-polarization factor, no thermal factor.

The 6 most intense peaks (2θ from 10° to 90°), by angle:
two_theta, I (rel.)
19.96, 96
28.37, 100
40.56, 41
45.60, 42
50.24, 41
58.70, 25

Structure:
Unit cell a=4.448 b=4.448 c=4.448 alpha=90.00 beta=90.00 gamma=90.00
Element x y z (fractional)
Cs (0.000, 0.000, 0.000)
Na (0.500, 0.500, 0.500)
O (0.000, 0.000, 0.500)
O (0.000, 0.500, 0.000)
O (0.500, 0.000, 0.000)

Record 2
Calculated X-ray powder pattern of K2ZnC4N4 for a wavelength of 1.5418 Å, from a GGA-PBE-relaxed structure.
Kinematic intensities with the Lorentz-polarization factor, no thermal factor.

The 6 most intense peaks (2θ from 10° to 90°), by angle:
two_theta, I (rel.)
20.17, 40
20.67, 39
23.62, 37
24.05, 100
27.73, 29
41.01, 34

Structure:
Unit cell a=15.380 b=15.380 c=15.380 alpha=32.44 beta=32.44 gamma=32.44
Element x y z (fractional)
K (0.000, 0.000, 0.000)
K (0.168, 0.750, 0.332)
K (0.250, 0.668, 0.832)
K (0.332, 0.168, 0.750)
K (0.500, 0.500, 0.500)
K (0.668, 0.832, 0.250)
K (0.750, 0.332, 0.168)
K (0.832, 0.250, 0.668)
Zn (0.185, 0.185, 0.185)
Zn (0.315, 0.315, 0.315)
Zn (0.685, 0.685, 0.685)
Zn (0.815, 0.815, 0.815)
C (0.047, 0.623, 0.726)
C (0.123, 0.547, 0.226)
C (0.139, 0.139, 0.139)
C (0.226, 0.123, 0.547)
C (0.274, 0.953, 0.377)
C (0.361, 0.361, 0.361)
C (0.377, 0.274, 0.953)
C (0.453, 0.774, 0.877)
C (0.547, 0.226, 0.123)
C (0.623, 0.726, 0.047)
C (0.639, 0.639, 0.639)
C (0.726, 0.047, 0.623)
C (0.774, 0.877, 0.453)
C (0.861, 0.861, 0.861)
C (0.877, 0.453, 0.774)
C (0.953, 0.377, 0.274)
N (0.016, 0.684, 0.170)
N (0.112, 0.112, 0.112)
N (0.170, 0.016, 0.684)
N (0.184, 0.516, 0.670)
N (0.316, 0.830, 0.984)
N (0.330, 0.816, 0.484)
N (0.388, 0.388, 0.388)
N (0.484, 0.330, 0.816)
N (0.516, 0.670, 0.184)
N (0.612, 0.612, 0.612)
N (0.670, 0.184, 0.516)
N (0.684, 0.170, 0.016)
N (0.816, 0.484, 0.330)
N (0.830, 0.984, 0.316)
N (0.888, 0.888, 0.888)
N (0.984, 0.316, 0.830)

Record 3
Calculated X-ray powder pattern of ErSiIr for a wavelength of 1.5418 Å, from a GGA-PBE-relaxed structure.
Kinematic intensities with the Lorentz-polarization factor, no thermal factor.

The 6 most intense peaks (2θ from 10° to 90°), by angle:
two_theta, I (rel.)
27.66, 66
34.78, 100
36.06, 88
41.70, 47
42.28, 52
42.97, 51

Structure:
Unit cell a=6.791 b=4.210 c=7.444 alpha=90.00 beta=90.00 gamma=90.00
Element x y z (fractional)
Er (0.004, 0.250, 0.188)
Er (0.496, 0.750, 0.688)
Er (0.504, 0.250, 0.312)
Er (0.996, 0.750, 0.812)
Si (0.203, 0.750, 0.389)
Si (0.297, 0.250, 0.889)
Si (0.703, 0.750, 0.111)
Si (0.797, 0.250, 0.611)
Ir (0.158, 0.250, 0.566)
Ir (0.342, 0.750, 0.066)
Ir (0.658, 0.250, 0.934)
Ir (0.842, 0.750, 0.434)

Record 4
Calculated X-ray powder pattern of UC3SN2O8 for a wavelength of 1.5418 Å, from a GGA-PBE-relaxed structure.
Kinematic intensities with the Lorentz-polarization factor, no thermal factor.

The 6 most intense peaks (2θ from 10° to 90°), by angle:
two_theta, I (rel.)
11.64, 100
12.04, 39
15.44, 26
15.75, 30
19.19, 30
22.41, 23

Structure:
Unit cell a=8.296 b=8.296 c=12.020 alpha=101.98 beta=101.98 gamma=107.00
Element x y z (fractional)
U (0.074, 0.926, 0.750)
U (0.926, 0.074, 0.250)
C (0.049, 0.939, 0.018)
C (0.061, 0.951, 0.482)
C (0.353, 0.647, 0.750)
C (0.647, 0.353, 0.250)
C (0.939, 0.049, 0.518)
C (0.951, 0.061, 0.982)
S (0.473, 0.527, 0.750)
S (0.527, 0.473, 0.250)
N (0.264, 0.736, 0.750)
N (0.278, 0.722, 0.250)
N (0.722, 0.278, 0.750)
N (0.736, 0.264, 0.250)
O (0.029, 0.478, 0.543)
O (0.067, 0.931, 0.376)
O (0.069, 0.933, 0.124)
O (0.100, 0.860, 0.938)
O (0.119, 0.268, 0.322)
O (0.140, 0.900, 0.562)
O (0.268, 0.119, 0.822)
O (0.478, 0.029, 0.043)
O (0.522, 0.971, 0.957)
O (0.732, 0.881, 0.178)
O (0.860, 0.100, 0.438)
O (0.881, 0.732, 0.678)
O (0.900, 0.140, 0.062)
O (0.931, 0.067, 0.876)
O (0.933, 0.069, 0.624)
O (0.971, 0.522, 0.457)

Record 5
Calculated X-ray powder pattern of Sr2SmSbO6 for a wavelength of 1.5418 Å, from a GGA-PBE-relaxed structure.
Kinematic intensities with the Lorentz-polarization factor, no thermal factor.

The 6 most intense peaks (2θ from 10° to 90°), by angle:
two_theta, I (rel.)
29.91, 100
42.81, 29
53.10, 44
62.14, 17
70.48, 18
86.12, 23

Structure:
Unit cell a=8.450 b=8.450 c=8.450 alpha=90.00 beta=90.00 gamma=90.00
Element x y z (fractional)
Sr (0.250, 0.250, 0.250)
Sr (0.250, 0.250, 0.750)
Sr (0.250, 0.750, 0.250)
Sr (0.250, 0.750, 0.750)
Sr (0.750, 0.250, 0.250)
Sr (0.750, 0.250, 0.750)
Sr (0.750, 0.750, 0.250)
Sr (0.750, 0.750, 0.750)
Sm (0.000, 0.000, 0.000)
Sm (0.000, 0.500, 0.500)
Sm (0.500, 0.000, 0.500)
Sm (0.500, 0.500, 0.000)
Sb (0.000, 0.000, 0.500)
Sb (0.000, 0.500, 0.000)
Sb (0.500, 0.000, 0.000)
Sb (0.500, 0.500, 0.500)
O (0.033, 0.539, 0.767)
O (0.033, 0.961, 0.733)
O (0.039, 0.233, 0.533)
O (0.039, 0.267, 0.967)
O (0.233, 0.533, 0.039)
O (0.233, 0.967, 0.461)
O (0.267, 0.533, 0.461)
O (0.267, 0.967, 0.039)
O (0.461, 0.233, 0.967)
O (0.461, 0.267, 0.533)
O (0.467, 0.539, 0.733)
O (0.467, 0.961, 0.767)
O (0.533, 0.039, 0.233)
O (0.533, 0.461, 0.267)
O (0.539, 0.733, 0.467)
O (0.539, 0.767, 0.033)
O (0.733, 0.033, 0.961)
O (0.733, 0.467, 0.539)
O (0.767, 0.033, 0.539)
O (0.767, 0.467, 0.961)
O (0.961, 0.733, 0.033)
O (0.961, 0.767, 0.467)
O (0.967, 0.039, 0.267)
O (0.967, 0.461, 0.233)

Repeat the second record exactly.
Calculated X-ray powder pattern of K2ZnC4N4 for a wavelength of 1.5418 Å, from a GGA-PBE-relaxed structure.
Kinematic intensities with the Lorentz-polarization factor, no thermal factor.

The 6 most intense peaks (2θ from 10° to 90°), by angle:
two_theta, I (rel.)
20.17, 40
20.67, 39
23.62, 37
24.05, 100
27.73, 29
41.01, 34

Structure:
Unit cell a=15.380 b=15.380 c=15.380 alpha=32.44 beta=32.44 gamma=32.44
Element x y z (fractional)
K (0.000, 0.000, 0.000)
K (0.168, 0.750, 0.332)
K (0.250, 0.668, 0.832)
K (0.332, 0.168, 0.750)
K (0.500, 0.500, 0.500)
K (0.668, 0.832, 0.250)
K (0.750, 0.332, 0.168)
K (0.832, 0.250, 0.668)
Zn (0.185, 0.185, 0.185)
Zn (0.315, 0.315, 0.315)
Zn (0.685, 0.685, 0.685)
Zn (0.815, 0.815, 0.815)
C (0.047, 0.623, 0.726)
C (0.123, 0.547, 0.226)
C (0.139, 0.139, 0.139)
C (0.226, 0.123, 0.547)
C (0.274, 0.953, 0.377)
C (0.361, 0.361, 0.361)
C (0.377, 0.274, 0.953)
C (0.453, 0.774, 0.877)
C (0.547, 0.226, 0.123)
C (0.623, 0.726, 0.047)
C (0.639, 0.639, 0.639)
C (0.726, 0.047, 0.623)
C (0.774, 0.877, 0.453)
C (0.861, 0.861, 0.861)
C (0.877, 0.453, 0.774)
C (0.953, 0.377, 0.274)
N (0.016, 0.684, 0.170)
N (0.112, 0.112, 0.112)
N (0.170, 0.016, 0.684)
N (0.184, 0.516, 0.670)
N (0.316, 0.830, 0.984)
N (0.330, 0.816, 0.484)
N (0.388, 0.388, 0.388)
N (0.484, 0.330, 0.816)
N (0.516, 0.670, 0.184)
N (0.612, 0.612, 0.612)
N (0.670, 0.184, 0.516)
N (0.684, 0.170, 0.016)
N (0.816, 0.484, 0.330)
N (0.830, 0.984, 0.316)
N (0.888, 0.888, 0.888)
N (0.984, 0.316, 0.830)